Starting from a crystal structure in Alexandria, relaxed with PBE, the XRD peak list of Tb5PuIr5 was computed for Cu Ka.

Top 12 peaks for 2θ = 10–90°, in order of rising 2θ:
11.6 deg, 7.611 Å, rel. 16.0; 17.4 deg, 5.098 Å, rel. 16.9; 31.4 deg, 2.848 Å, rel. 67.8; 31.5 deg, 2.838 Å, rel. 67.7; 31.8 deg, 2.811 Å, rel. 67.7; 45.0 deg, 2.014 Å, rel. 23.8; 45.2 deg, 2.007 Å, rel. 25.6; 45.4 deg, 1.999 Å, rel. 100.0; 56.2 deg, 1.637 Å, rel. 25.0; 56.3 deg, 1.633 Å, rel. 26.9; 74.7 deg, 1.270 Å, rel. 17.7; 83.4 deg, 1.158 Å, rel. 15.7

Cell and atoms:
Cell: 6.9648 6.9648 8.0276 Å, 106.92 106.92 47.61°
Positions (direct):
Tb: 0.0000 0.0000 0.0000
Tb: 0.3240 0.3240 0.1719
Tb: 0.3260 0.3260 0.6541
Tb: 0.6740 0.6740 0.3459
Tb: 0.6760 0.6760 0.8281
Pu: 0.0000 0.0000 0.5000
Ir: 0.1532 0.1532 0.3289
Ir: 0.1587 0.1587 0.8269
Ir: 0.5000 0.5000 0.5000
Ir: 0.8413 0.8413 0.1731
Ir: 0.8468 0.8468 0.6711

***

Starting from a crystal structure in Alexandria, relaxed with PBE, the XRD peak list of Ac2Be2RhO6 was computed for Cu Ka.

Top 12 peaks for 2θ = 10–90°, in order of rising 2θ:
23.8 deg, 3.734 Å, rel. 100.0; 29.7 deg, 3.007 Å, rel. 15.2; 32.6 deg, 2.750 Å, rel. 49.6; 35.3 deg, 2.542 Å, rel. 31.3; 40.8 deg, 2.214 Å, rel. 40.5; 44.7 deg, 2.029 Å, rel. 15.5; 48.8 deg, 1.867 Å, rel. 15.7; 49.3 deg, 1.848 Å, rel. 15.2; 53.1 deg, 1.725 Å, rel. 27.3; 59.9 deg, 1.545 Å, rel. 12.9; 60.4 deg, 1.534 Å, rel. 12.8; 70.3 deg, 1.339 Å, rel. 12.1

Cell and atoms:
Cell: 5.4999 5.4999 6.0133 Å, 90.00 90.00 120.00°
Positions (direct):
Ac: 0.3333 0.6667 0.2529
Ac: 0.6667 0.3333 0.7471
Be: 0.3333 0.6667 0.7725
Be: 0.6667 0.3333 0.2275
Rh: 0.0000 0.0000 0.0000
O: 0.1193 0.3553 0.7751
O: 0.2361 0.8807 0.7751
O: 0.3553 0.2361 0.2249
O: 0.6447 0.7639 0.7751
O: 0.7639 0.1193 0.2249
O: 0.8807 0.6447 0.2249

***

Starting from a crystal structure in Alexandria, relaxed with PBE, the XRD peak list of NpAsHRh was computed for Cu Ka.

Top 12 peaks for 2θ = 10–90°, in order of rising 2θ:
25.4 deg, 3.510 Å, rel. 35.8; 31.4 deg, 2.845 Å, rel. 36.4; 33.5 deg, 2.678 Å, rel. 100.0; 33.9 deg, 2.645 Å, rel. 76.0; 37.6 deg, 2.392 Å, rel. 21.0; 40.5 deg, 2.230 Å, rel. 53.5; 45.1 deg, 2.012 Å, rel. 58.5; 57.3 deg, 1.609 Å, rel. 44.4; 60.1 deg, 1.540 Å, rel. 22.0; 61.1 deg, 1.518 Å, rel. 17.8; 65.6 deg, 1.423 Å, rel. 19.1; 86.8 deg, 1.122 Å, rel. 15.7

Cell and atoms:
Cell: 4.0239 4.0239 7.1770 Å, 90.00 90.00 90.00°
Positions (direct):
Np: 0.2500 0.2500 0.1476
Np: 0.7500 0.7500 0.8524
As: 0.2500 0.2500 0.7148
As: 0.7500 0.7500 0.2852
H: 0.2500 0.7500 0.0000
H: 0.7500 0.2500 0.0000
Rh: 0.2500 0.7500 0.5000
Rh: 0.7500 0.2500 0.5000